(1)
Mg6CrMo: calculated powder diffractogram (Cu Kα), based on the PBE geometry in the Materials Project.
Intensities are scaled so that the largest is 1000.

Main lines, by intensity (2θ = 10–90°):
2theta  I (rel.)
39.23  1000
37.75  907
16.89  845
34.17  583
37.93  493
16.08  393
51.96  333
75.12  213
34.33  195
69.38  171

Cell and atoms:
Cell lengths 4.744, 6.267, 6.267 Å; angles 56.87, 90.00, 90.00 degrees
Fractional positions:
Mg  0.000  0.000  0.000
Mg  0.000  0.011  0.490
Mg  0.000  0.490  0.011
Mg  0.500  0.350  0.838
Mg  0.500  0.838  0.350
Mg  0.500  0.842  0.842
Cr  0.000  0.476  0.476
Mo  0.500  0.365  0.365

(2)
MgCrMoS4: calculated powder diffractogram (Cu Kα), based on the PBE geometry in the Materials Project.
Intensities are scaled so that the largest is 1000.

Main lines, by intensity (2θ = 10–90°):
2theta  I (rel.)
34.60  1000
14.82  997
49.75  608
28.47  519
28.60  381
45.50  342
49.96  155
49.45  150
45.33  118
24.34  112

Cell and atoms:
Cell lengths 7.331, 7.331, 7.331 Å; angles 120.27, 119.62, 90.10 degrees
Fractional positions:
Mg  0.376  0.126  0.250
Mg  0.624  0.874  0.750
Cr  0.000  0.000  0.500
Cr  0.000  0.500  0.000
Mo  0.000  0.500  0.500
Mo  0.500  0.500  0.000
S  0.212  0.741  0.471
S  0.230  0.259  0.971
S  0.235  0.254  0.519
S  0.235  0.716  0.981
S  0.765  0.284  0.019
S  0.765  0.746  0.481
S  0.770  0.741  0.029
S  0.788  0.259  0.529

(3)
Mg2Cr3MoS8: calculated powder diffractogram (Cu Kα), based on the PBE geometry in the Materials Project.
Intensities are scaled so that the largest is 1000.

Main lines, by intensity (2θ = 10–90°):
2theta  I (rel.)
34.82  1000
14.92  837
28.75  580
50.23  467
49.90  458
45.79  421
28.61  252
62.57  142
73.51  124
24.50  123

Cell and atoms:
Cell lengths 7.310, 7.310, 7.310 Å; angles 59.59, 59.59, 59.59 degrees
Fractional positions:
Mg  0.126  0.126  0.126
Mg  0.874  0.874  0.874
Cr  0.000  0.500  0.500
Cr  0.500  0.000  0.500
Cr  0.500  0.500  0.000
Mo  0.500  0.500  0.500
S  0.258  0.258  0.712
S  0.258  0.712  0.258
S  0.264  0.264  0.264
S  0.288  0.742  0.741
S  0.712  0.258  0.258
S  0.736  0.736  0.736
S  0.742  0.288  0.742
S  0.742  0.742  0.288

(4)
Mg3Cr2N4: calculated powder diffractogram (Cu Kα), based on the PBE geometry in the Materials Project.
Intensities are scaled so that the largest is 1000.

Main lines, by intensity (2θ = 10–90°):
2theta  I (rel.)
34.44  1000
49.51  763
46.61  650
33.48  611
36.29  409
17.56  408
56.66  405
29.30  389
22.22  384
48.79  378

Cell and atoms:
Cell lengths 6.251, 6.251, 5.430 Å; angles 90.42, 90.42, 72.20 degrees
Fractional positions:
Mg  0.095  0.905  0.750
Mg  0.265  0.512  0.522
Mg  0.488  0.735  0.978
Mg  0.512  0.265  0.022
Mg  0.735  0.488  0.478
Mg  0.905  0.095  0.250
Cr  0.069  0.321  0.900
Cr  0.321  0.069  0.400
Cr  0.679  0.931  0.600
Cr  0.931  0.679  0.100
N  0.054  0.235  0.565
N  0.224  0.554  0.933
N  0.235  0.054  0.065
N  0.446  0.776  0.567
N  0.554  0.224  0.433
N  0.765  0.946  0.935
N  0.776  0.446  0.067
N  0.946  0.765  0.435

Number 1 is which compound?
Mg6CrMo